Entry 1:
# Li2Ni3SnO8
Theoretical powder diffraction line list, CuKα. Input: the GGA+U geometry in the Materials Project.
Intensities are scaled so that the largest is 100.

Top 10 peaks for 10 to 90 degrees two-theta, low angle first:
hkl, 2theta, d/Å, I/Imax
0 0 2, 18.61, 4.769, 18
1 0 1, 19.86, 4.470, 100
1 0 2, 25.67, 3.471, 33
1 0 3, 33.28, 2.692, 44
1 1 2, 36.05, 2.491, 58
2 0 1, 36.75, 2.446, 42
2 0 3, 45.83, 1.980, 32
2 1 3, 56.11, 1.639, 23
2 0 5, 60.81, 1.523, 34
2 2 0, 63.70, 1.461, 28

Atomic structure:
```
data_Li2Ni3SnO8
_cell_length_a 5.8437
_cell_length_b 5.8437
_cell_length_c 9.5381
_cell_angle_alpha 90.00
_cell_angle_beta 90.00
_cell_angle_gamma 120.00
_symmetry_space_group_name_H-M 'P 63 m c'
_symmetry_Int_Tables_number 186
_symmetry_space_group_name_Hall 'P 6c -2c'
loop_
_atom_site_label
_atom_site_type_symbol
_atom_site_fract_x
_atom_site_fract_y
_atom_site_fract_z
_atom_site_occupancy
Li1 Li 0.0000 0.0000 0.0000 1
Li2 Li 0.3333 0.6667 0.3958 1
Ni1 Ni 0.1698 0.3396 0.7199 1
Sn1 Sn 0.3333 0.6667 0.9979 1
O1 O 0.0000 0.0000 0.3100 1
O2 O 0.0337 0.5168 0.8400 1
O3 O 0.1586 0.3172 0.1062 1
O4 O 0.3333 0.6667 0.6165 1
```



Entry 2:
# FeOF
Theoretical powder diffraction line list, CuKα. Input: the GGA+U geometry in the Materials Project.
Intensities are scaled so that the largest is 100.

Top 10 peaks for 10 to 90 degrees two-theta, low angle first:
hkl, 2theta, d/Å, I/Imax
0 0 3, 18.85, 4.709, 53
1 0 1, 20.62, 4.307, 58
0 1 2, 23.36, 3.809, 100
1 0 4, 32.16, 2.783, 82
1 1 0, 34.35, 2.611, 70
2 -1 3, 39.46, 2.283, 82
0 2 4, 47.76, 1.904, 46
2 -1 6, 52.32, 1.748, 68
3 -1 4, 60.14, 1.539, 31
3 0 0, 61.52, 1.507, 45

Atomic structure:
```
data_FeOF
_cell_length_a 5.2220
_cell_length_b 5.2220
_cell_length_c 14.1258
_cell_angle_alpha 90.00
_cell_angle_beta 90.00
_cell_angle_gamma 120.00
_symmetry_space_group_name_H-M 'R 3'
_symmetry_Int_Tables_number 146
_symmetry_space_group_name_Hall 'R 3'
loop_
_atom_site_label
_atom_site_type_symbol
_atom_site_fract_x
_atom_site_fract_y
_atom_site_fract_z
_atom_site_occupancy
Fe1 Fe 0.0000 0.0000 0.0000 1
Fe2 Fe 0.0000 0.0000 0.2187 1
Fe3 Fe 0.0000 0.0000 0.5341 1
O1 O 0.0014 0.3445 0.2694 1
F1 F 0.0216 0.6103 0.7783 1
```



Entry 3:
# Sr3Ca5Mn8O21
Theoretical powder diffraction line list, CuKα. Input: the GGA+U geometry in the Materials Project.
Intensities are scaled so that the largest is 100.

Top 10 peaks for 10 to 90 degrees two-theta, low angle first:
hkl, 2theta, d/Å, I/Imax
2 0 2, 31.88, 2.807, 56
0 2 2, 32.34, 2.768, 45
0 2 -2, 32.54, 2.751, 46
2 -2 0, 32.66, 2.742, 100
2 0 -2, 33.12, 2.705, 52
0 0 4, 46.31, 1.961, 39
0 4 0, 46.76, 1.943, 38
4 0 0, 46.96, 1.935, 32
2 4 2, 57.55, 1.602, 19
-2 4 2, 58.42, 1.580, 19

Atomic structure:
```
data_Sr3Ca5Mn8O21
_cell_length_a 7.7451
_cell_length_b 7.7705
_cell_length_c 7.8482
_cell_angle_alpha 89.65
_cell_angle_beta 87.87
_cell_angle_gamma 89.97
_symmetry_space_group_name_H-M 'P 1'
_symmetry_Int_Tables_number 1
_symmetry_space_group_name_Hall 'P 1'
loop_
_atom_site_label
_atom_site_type_symbol
_atom_site_fract_x
_atom_site_fract_y
_atom_site_fract_z
_atom_site_occupancy
Sr1 Sr 0.0000 0.0000 0.0000 1
Sr2 Sr 0.0174 0.0099 0.5124 1
Sr3 Sr 0.5223 0.9925 0.5068 1
Ca1 Ca 0.0051 0.5180 0.0205 1
Ca2 Ca 0.0274 0.5207 0.5259 1
Ca3 Ca 0.5168 0.0077 0.0116 1
Ca4 Ca 0.5279 0.5163 0.0169 1
Ca5 Ca 0.5726 0.5157 0.5024 1
Mn1 Mn 0.2573 0.7491 0.7684 1
Mn2 Mn 0.2678 0.2639 0.2741 1
Mn3 Mn 0.2787 0.7491 0.2601 1
Mn4 Mn 0.2862 0.2653 0.7493 1
Mn5 Mn 0.7464 0.2608 0.7667 1
Mn6 Mn 0.7593 0.7541 0.2583 1
Mn7 Mn 0.7650 0.7535 0.7617 1
Mn8 Mn 0.7779 0.2612 0.2552 1
O1 O 0.0107 0.7772 0.7523 1
O2 O 0.0279 0.2183 0.2342 1
O3 O 0.2063 0.2734 0.5277 1
O4 O 0.2102 0.4909 0.7977 1
O5 O 0.2178 0.5091 0.2379 1
O6 O 0.2338 0.7680 0.0232 1
O7 O 0.2451 0.7452 0.5044 1
O8 O 0.2646 0.0204 0.7741 1
O9 O 0.3014 0.0071 0.2600 1
O10 O 0.4953 0.2720 0.8580 1
O11 O 0.5092 0.7251 0.7642 1
O12 O 0.5177 0.7086 0.2651 1
O13 O 0.5199 0.3013 0.2527 1
O14 O 0.7457 0.0078 0.7843 1
O15 O 0.7488 0.0023 0.2354 1
O16 O 0.7508 0.2416 0.5158 1
O17 O 0.7726 0.7740 0.5040 1
O18 O 0.7776 0.7289 0.0148 1
O19 O 0.7865 0.5049 0.7292 1
O20 O 0.8113 0.2861 0.0016 1
O21 O 0.8228 0.5138 0.2884 1
```



Entry 4:
# MgV2Cu2O8
Theoretical powder diffraction line list, CuKα. Input: the GGA+U geometry in the Materials Project.
Intensities are scaled so that the largest is 100.

Top 10 peaks for 10 to 90 degrees two-theta, low angle first:
hkl, 2theta, d/Å, I/Imax
1 0 -2, 20.20, 4.397, 24
0 2 0, 21.26, 4.180, 23
1 1 -2, 22.85, 3.892, 29
1 2 -1, 26.42, 3.374, 58
1 2 -2, 29.48, 3.030, 29
0 0 4, 30.19, 2.960, 96
2 1 1, 30.41, 2.939, 100
0 3 1, 33.04, 2.712, 45
0 3 2, 35.61, 2.521, 27
2 4 3, 57.43, 1.605, 24

Atomic structure:
```
data_MgV2Cu2O8
_cell_length_a 6.5165
_cell_length_b 8.3594
_cell_length_c 11.8408
_cell_angle_alpha 90.00
_cell_angle_beta 90.40
_cell_angle_gamma 90.00
_symmetry_space_group_name_H-M 'P 1 21/c 1'
_symmetry_Int_Tables_number 14
_symmetry_space_group_name_Hall '-P 2ybc'
loop_
_atom_site_label
_atom_site_type_symbol
_atom_site_fract_x
_atom_site_fract_y
_atom_site_fract_z
_atom_site_occupancy
Mg1 Mg 0.1125 0.1623 0.0500 1
V1 V 0.1031 0.0396 0.3455 1
V2 V 0.3910 0.5866 0.3666 1
Cu1 Cu 0.2355 0.6849 0.6272 1
Cu2 Cu 0.3771 0.0570 0.6273 1
O1 O 0.0367 0.2331 0.3957 1
O2 O 0.0842 0.1056 0.6151 1
O3 O 0.1225 0.0389 0.2009 1
O4 O 0.1895 0.5755 0.4701 1
O5 O 0.3134 0.6307 0.2247 1
O6 O 0.3384 0.5120 0.9027 1
O7 O 0.4199 0.2183 0.0859 1
O8 O 0.4935 0.0997 0.8607 1
```